(1)
For La2Be2O5, a cell relaxed with PBE gives the theoretical powder diffractogram in this record (a wavelength of 1.5418 Å).
Lines closer than 0.1° are merged.

Crystal structure
```
La2Be2O5
1.0
3.7983 -3.6907 0.0000
3.7983 3.6907 0.0000
-0.1371 0.0000 7.4539
La Be O
4 4 10
direct
0.2001 0.2722 0.1937
0.2722 0.2001 0.6937
0.7278 0.7999 0.3063
0.7999 0.7278 0.8063
0.2520 0.6877 0.5300
0.3123 0.7480 0.9700
0.6877 0.2520 0.0300
0.7480 0.3123 0.4700
0.0000 0.5000 0.5000
0.0565 0.7434 0.0843
0.2468 0.7532 0.7500
0.2566 0.9435 0.4157
0.5000 0.0000 0.0000
0.5000 0.5000 0.0000
0.5000 0.5000 0.5000
0.7434 0.0565 0.5843
0.7532 0.2468 0.2500
0.9435 0.2566 0.9157
```

Most intense lines, 2θ = 10–80°, sorted by position:
| 2θ (°) | d/Å | intensity |
| --- | --- | --- |
| 23.42 | 3.798 | 100 |
| 23.88 | 3.727 | 47 |
| 24.11 | 3.691 | 73 |
| 29.13 | 3.066 | 40 |
| 29.49 | 3.029 | 81 |
| 33.37 | 2.685 | 33 |
| 33.87 | 2.647 | 87 |
| 34.19 | 2.622 | 51 |
| 41.60 | 2.171 | 57 |
| 51.80 | 1.765 | 39 |



(2)
For CrH2Ru2, a cell relaxed with PBE gives the theoretical powder diffractogram in this record (a wavelength of 1.5418 Å).
Lines closer than 0.1° are merged.

Crystal structure
```
CrH2Ru2
1.0
2.7350 0.0000 0.0000
-1.3675 2.3686 0.0000
0.0000 0.0000 6.6899
Cr H Ru
1 2 2
direct
0.0000 0.0000 0.0000
0.3333 0.6667 0.1489
0.6667 0.3333 0.8511
0.3333 0.6667 0.6661
0.6667 0.3333 0.3339
```

Most intense lines, 2θ = 10–80°, sorted by position:
| 2θ (°) | d/Å | intensity |
| --- | --- | --- |
| 13.23 | 6.690 | 13 |
| 26.65 | 3.345 | 3 |
| 37.99 | 2.369 | 3 |
| 40.41 | 2.232 | 100 |
| 47.01 | 1.933 | 50 |
| 56.69 | 1.624 | 2 |
| 68.67 | 1.367 | 30 |
| 70.26 | 1.340 | 1 |
| 75.04 | 1.266 | 1 |



(3)
For Rb3CdCl5, a cell relaxed with PBE gives the theoretical powder diffractogram in this record (a wavelength of 1.5418 Å).
Lines closer than 0.1° are merged.

Crystal structure
```
Rb3CdCl5
1.0
-4.4695 4.4695 7.6852
4.4695 -4.4695 7.6852
4.4695 4.4695 -7.6852
Rb Cd Cl
6 2 10
direct
0.1635 0.6635 0.8269
0.2500 0.2500 0.0000
0.3365 0.1635 0.5000
0.6635 0.8365 0.5000
0.7500 0.7500 0.0000
0.8365 0.3365 0.1731
0.2500 0.7500 0.5000
0.7500 0.2500 0.5000
0.0000 0.0000 0.0000
0.0042 0.1991 0.5000
0.1991 0.6991 0.1949
0.3009 0.4958 0.5000
0.4958 0.9958 0.1949
0.5000 0.5000 0.0000
0.5042 0.0042 0.8051
0.6991 0.5042 0.5000
0.8009 0.3009 0.8051
0.9958 0.8009 0.5000
```

Most intense lines, 2θ = 10–80°, sorted by position:
| 2θ (°) | d/Å | intensity |
| --- | --- | --- |
| 23.02 | 3.864 | 65 |
| 23.15 | 3.843 | 22 |
| 28.29 | 3.154 | 100 |
| 30.65 | 2.917 | 30 |
| 31.65 | 2.827 | 15 |
| 36.84 | 2.439 | 33 |
| 40.59 | 2.223 | 19 |
| 45.39 | 1.998 | 29 |
| 51.54 | 1.773 | 15 |
| 58.43 | 1.579 | 16 |



(4)
For LiHg8Pb5, a cell relaxed with PBE gives the theoretical powder diffractogram in this record (a wavelength of 1.5418 Å).
Lines closer than 0.1° are merged.

Crystal structure
```
LiHg8Pb5
1.0
7.3842 0.0000 0.0000
-2.7652 6.9267 0.0000
-1.8487 -3.6038 7.6422
Li Hg Pb
1 8 5
direct
0.0000 0.0000 0.0000
0.1000 0.2747 0.8351
0.1814 0.0440 0.3482
0.2284 0.7655 0.9467
0.4344 0.2878 0.1662
0.6823 0.8492 0.6639
0.6974 0.8618 0.1566
0.7204 0.5458 0.8425
0.8139 0.2788 0.0690
0.2188 0.4798 0.5782
0.2954 0.6494 0.2716
0.3701 0.0451 0.7368
0.7011 0.2054 0.4968
0.8922 0.6566 0.4318
```

Most intense lines, 2θ = 10–80°, sorted by position:
| 2θ (°) | d/Å | intensity |
| --- | --- | --- |
| 28.06 | 3.180 | 100 |
| 28.25 | 3.159 | 44 |
| 29.17 | 3.061 | 64 |
| 29.24 | 3.054 | 51 |
| 30.58 | 2.924 | 43 |
| 31.00 | 2.885 | 48 |
| 31.47 | 2.843 | 64 |
| 31.78 | 2.816 | 41 |
| 32.10 | 2.788 | 57 |
| 33.55 | 2.671 | 84 |